The following is a computed powder diffraction line list of AcEr3Sn3. It was derived from a DFT-relaxed cell (PBE, Alexandria), using Cu Kα.
Neutral-atom scattering factors, no anomalous dispersion.

Cell and atoms:
```
data_AcEr3Sn3
_chemical_formula_sum 'Ac2 Er6 Sn6'
_space_group_name_H-M_alt 'P 63/m'
_space_group_IT_number 176
_space_group_name_Hall '-P 6c'
_cell_length_a 9.4036
_cell_length_b 9.4036
_cell_length_c 5.4149
_cell_angle_alpha 90.00
_cell_angle_beta 90.00
_cell_angle_gamma 120.00
loop_
_atom_site_label
_atom_site_fract_x
_atom_site_fract_y
_atom_site_fract_z
Ac1 0.3333 0.6667 0.2500
Er1 0.0014 0.2350 0.2500
Sn1 0.0707 0.4383 0.7500
```

Principal peaks in the range 10 to 90 degrees two-theta, sorted by position:
Position (°2θ), I/Imax, hkl
27.41, 13, 2 0 1
29.01, 23, 2 1 0
33.06, 37, 0 0 2
33.49, 100, 2 1 1
44.56, 16, 2 1 2
51.42, 15, 1 4 0
51.76, 10, 2 3 1
59.36, 20, 2 1 3
62.52, 17, 1 4 2
62.77, 8, 4 2 1



The following is a computed powder diffraction line list of Pa2SBr6. It was derived from a DFT-relaxed cell (PBE, Alexandria), using Cu Kα.
Neutral-atom scattering factors, no anomalous dispersion.

Cell and atoms:
```
data_Pa2SBr6
_chemical_formula_sum 'Pa4 S2 Br12'
_space_group_name_H-M_alt 'C 1 2/m 1'
_space_group_IT_number 12
_space_group_name_Hall '-C 2y'
_cell_length_a 16.834
_cell_length_b 3.519
_cell_length_c 12.971
_cell_angle_alpha 90.00
_cell_angle_beta 121.77
_cell_angle_gamma 90.00
loop_
_atom_site_label
_atom_site_fract_x
_atom_site_fract_y
_atom_site_fract_z
Pa1 0.044 0.000 0.189
S1 0.000 0.500 0.000
Br1 0.093 0.500 0.396
Br2 0.114 0.500 0.863
Br3 0.204 0.500 0.246
```

Principal peaks in the range 10 to 90 degrees two-theta, sorted by position:
Position (°2θ), I/Imax, hkl
10.62, 100, 2 0 -1
12.37, 55, 2 0 0
16.08, 44, 0 0 2
20.54, 24, 2 0 -3
30.03, 32, 3 1 -1
31.59, 24, 3 1 0
32.52, 30, 1 1 2
33.36, 39, 3 1 -3
40.09, 40, 3 1 2
40.43, 36, 5 1 -4



The following is a computed powder diffraction line list of Pu2Ga6Pt. It was derived from a DFT-relaxed cell (PBE, Alexandria), using Cu Kα.
Neutral-atom scattering factors, no anomalous dispersion.

Cell and atoms:
```
data_Pu2Ga6Pt
_chemical_formula_sum 'Pu2 Ga6 Pt1'
_space_group_name_H-M_alt 'P -3 m 1'
_space_group_IT_number 164
_space_group_name_Hall '-P 3 2"'
_cell_length_a 5.9956
_cell_length_b 5.9956
_cell_length_c 5.5057
_cell_angle_alpha 90.00
_cell_angle_beta 90.00
_cell_angle_gamma 120.00
loop_
_atom_site_label
_atom_site_fract_x
_atom_site_fract_y
_atom_site_fract_z
Pu1 0.3333 0.6667 0.3126
Ga1 0.1783 0.3567 0.8159
Pt1 0.0000 0.0000 0.5000
```

Principal peaks in the range 10 to 90 degrees two-theta, sorted by position:
Position (°2θ), I/Imax, hkl
23.55, 39, 1 0 1
29.80, 47, 1 1 0
34.05, 46, 1 1 1
36.96, 54, 1 0 2
38.33, 100, 0 2 1
48.18, 24, 0 2 2
52.91, 25, 0 1 3
57.69, 21, 2 1 2
61.91, 31, 2 2 0
70.22, 20, 1 2 3



The following is a computed powder diffraction line list of RbGaPb. It was derived from a DFT-relaxed cell (PBE, Alexandria), using Cu Kα.
Neutral-atom scattering factors, no anomalous dispersion.

Cell and atoms:
```
data_RbGaPb
_chemical_formula_sum 'Rb4 Ga4 Pb4'
_space_group_name_H-M_alt 'P 1 21/c 1'
_space_group_IT_number 14
_space_group_name_Hall '-P 2ybc'
_cell_length_a 7.326
_cell_length_b 7.280
_cell_length_c 9.352
_cell_angle_alpha 90.00
_cell_angle_beta 114.31
_cell_angle_gamma 90.00
loop_
_atom_site_label
_atom_site_fract_x
_atom_site_fract_y
_atom_site_fract_z
Rb1 0.187 0.121 0.376
Ga1 0.406 0.629 0.286
Pb1 0.277 0.615 0.540
```

Principal peaks in the range 10 to 90 degrees two-theta, sorted by position:
Position (°2θ), I/Imax, hkl
16.01, 79, 0 1 1
18.03, 53, 1 1 0
26.27, 66, 2 0 -2
26.69, 61, 2 0 0
27.81, 91, 1 2 -1
31.21, 46, 1 1 -3
31.78, 100, 1 2 1
34.22, 35, 2 1 -3
45.13, 28, 3 2 -1
47.33, 34, 3 2 -3



The following is a computed powder diffraction line list of PaP2S8. It was derived from a DFT-relaxed cell (PBE, Alexandria), using Cu Kα.
Neutral-atom scattering factors, no anomalous dispersion.

Cell and atoms:
```
data_PaP2S8
_chemical_formula_sum 'Pa2 P4 S16'
_space_group_name_H-M_alt 'C 1 2/m 1'
_space_group_IT_number 12
_space_group_name_Hall '-C 2y'
_cell_length_a 11.726
_cell_length_b 9.333
_cell_length_c 6.008
_cell_angle_alpha 90.00
_cell_angle_beta 102.34
_cell_angle_gamma 90.00
loop_
_atom_site_label
_atom_site_fract_x
_atom_site_fract_y
_atom_site_fract_z
Pa1 0.000 0.000 0.000
P1 0.197 0.000 0.682
S1 0.109 0.178 0.769
S2 0.136 0.500 0.161
S3 0.194 0.000 0.337
```

Principal peaks in the range 10 to 90 degrees two-theta, sorted by position:
Position (°2θ), I/Imax, hkl
12.23, 100, 1 1 0
15.09, 19, 0 0 1
19.02, 30, 0 2 0
20.73, 29, 1 1 1
23.92, 18, 2 0 1
27.15, 36, 2 2 -1
32.04, 21, 3 1 1
36.76, 20, 2 2 -2
38.39, 13, 3 3 -1
49.42, 14, 5 3 0



The following is a computed powder diffraction line list of MgGe6. It was derived from a DFT-relaxed cell (PBE, Alexandria), using Cu Kα.
Neutral-atom scattering factors, no anomalous dispersion.

Cell and atoms:
```
data_MgGe6
_chemical_formula_sum 'Mg2 Ge12'
_space_group_name_H-M_alt 'I m -3 m'
_space_group_IT_number 229
_space_group_name_Hall '-I 4 2 3'
_cell_length_a 7.086
_cell_length_b 7.086
_cell_length_c 7.086
_cell_angle_alpha 90.00
_cell_angle_beta 90.00
_cell_angle_gamma 90.00
loop_
_atom_site_label
_atom_site_fract_x
_atom_site_fract_y
_atom_site_fract_z
Mg1 0.000 0.000 0.000
Ge1 0.000 0.250 0.500
```

Principal peaks in the range 10 to 90 degrees two-theta, sorted by position:
Position (°2θ), I/Imax, hkl
17.70, 98, 1 1 0
25.13, 43, 2 0 0
30.91, 100, 2 1 1
35.84, 17, 2 2 0
40.24, 24, 3 1 0
44.28, 72, 2 2 2
48.04, 57, 3 2 1
51.59, 43, 4 0 0
75.96, 26, 4 4 0
84.23, 16, 6 1 1



The following is a computed powder diffraction line list of La2ScTe. It was derived from a DFT-relaxed cell (PBE, Alexandria), using Cu Kα.
Neutral-atom scattering factors, no anomalous dispersion.

Cell and atoms:
```
data_La2ScTe
_chemical_formula_sum 'La4 Sc2 Te2'
_space_group_name_H-M_alt 'C 1 m 1'
_space_group_IT_number 8
_space_group_name_Hall 'C -2y'
_cell_length_a 12.280
_cell_length_b 3.813
_cell_length_c 5.661
_cell_angle_alpha 90.00
_cell_angle_beta 113.29
_cell_angle_gamma 90.00
loop_
_atom_site_label
_atom_site_fract_x
_atom_site_fract_y
_atom_site_fract_z
La1 0.000 0.000 0.000
La2 0.219 0.000 0.629
Sc1 0.276 0.500 0.195
Te1 0.469 0.000 0.489
```

Principal peaks in the range 10 to 90 degrees two-theta, sorted by position:
Position (°2θ), I/Imax, hkl
24.64, 17, 1 1 0
28.24, 19, 1 1 -1
29.47, 16, 4 0 -1
31.71, 86, 4 0 0
31.91, 100, 1 1 1
33.04, 91, 3 1 -1
34.50, 17, 0 0 2
47.70, 19, 0 2 0
58.06, 19, 7 1 -1
58.42, 33, 4 2 0



The following is a computed powder diffraction line list of TlV3Cl12. It was derived from a DFT-relaxed cell (PBE, Alexandria), using Cu Kα.
Neutral-atom scattering factors, no anomalous dispersion.

Cell and atoms:
```
data_TlV3Cl12
_chemical_formula_sum 'Tl6 V18 Cl72'
_space_group_name_H-M_alt 'R 3 c'
_space_group_IT_number 161
_space_group_name_Hall 'R 3 -2"c'
_cell_length_a 11.4507
_cell_length_b 11.4507
_cell_length_c 35.0389
_cell_angle_alpha 90.00
_cell_angle_beta 90.00
_cell_angle_gamma 120.00
loop_
_atom_site_label
_atom_site_fract_x
_atom_site_fract_y
_atom_site_fract_z
Tl1 0.0000 0.0000 0.0000
V1 0.0334 0.3438 0.0529
Cl1 0.1272 0.3407 0.9990
Cl2 0.1884 0.4249 0.0968
Cl3 0.1931 0.4021 0.3808
Cl4 0.2002 0.4236 0.7329
```

Principal peaks in the range 10 to 90 degrees two-theta, sorted by position:
Position (°2θ), I/Imax, hkl
10.25, 100, 0 1 2
13.49, 35, 1 0 4
15.17, 17, 0 0 6
17.25, 35, 1 1 3
20.58, 17, 0 2 4
21.74, 32, 1 1 6
26.98, 28, 3 0 0
27.17, 14, 2 0 8
31.09, 21, 3 0 6
31.41, 30, 1 2 8